# 1
Structure and calculated X-ray powder pattern of YAl2Tc2B (the GGA-PBE geometry in Alexandria; λ = 1.5418 Å (Cu Kα)).

Main lines, most intense first (5 to 70 degrees two-theta):
2θ 34.0, rel. 100, (1 1 1); 2θ 42.5, rel. 40, (2 0 0); 2θ 16.2, rel. 26, (0 0 1); 2θ 32.7, rel. 20, (0 0 2); 2θ 39.1, rel. 19, (1 0 2); 2θ 54.6, rel. 18, (2 0 2); 2θ 59.2, rel. 17, (1 1 3); 2θ 26.5, rel. 14, (1 0 1); 2θ 44.8, rel. 14, (1 1 2); 2θ 61.6, rel. 13, (2 2 0)

Structural model:
abc: 4.2573 4.2573 5.4717
angles: 90.00 90.00 90.00
Space group P4/mmm (No. 123)
Unique sites:
Y: 0.0000 0.0000 0.0000
Al: 0.5000 0.5000 0.2380
Tc: 0.0000 0.5000 0.5000
B: 0.0000 0.0000 0.5000


# 2
Structure and calculated X-ray powder pattern of TiAlB3 (the GGA-PBE geometry in Alexandria; λ = 1.5418 Å (Cu Kα)).

Main lines, most intense first (5 to 70 degrees two-theta):
2θ 31.1, rel. 100, (1 1 0); 2θ 44.6, rel. 37, (2 0 0); 2θ 55.3, rel. 36, (2 1 1); 2θ 21.9, rel. 26, (1 0 0); 2θ 64.8, rel. 22, (2 2 0); 2θ 50.2, rel. 8, (2 1 0); 2θ 69.3, rel. 3, (3 0 0)

Structural model:
abc: 4.0667 4.0667 4.0667
angles: 90.00 90.00 90.00
Space group Pm-3m (No. 221)
Unique sites:
Ti: 0.0000 0.0000 0.0000
Al: 0.5000 0.5000 0.5000
B: 0.0000 0.0000 0.5000


# 3
Structure and calculated X-ray powder pattern of UAlB4 (the GGA-PBE geometry in Alexandria; λ = 1.5418 Å (Cu Kα)).

Main lines, most intense first (5 to 70 degrees two-theta):
2θ 40.3, rel. 100, (2 2 1); 2θ 40.4, rel. 100, (1 3 1); 2θ 25.0, rel. 93, (0 0 1); 2θ 24.4, rel. 85, (2 0 0); 2θ 31.2, rel. 81, (1 3 0); 2θ 31.1, rel. 81, (2 2 0); 2θ 19.0, rel. 80, (0 2 0); 2θ 35.2, rel. 78, (2 0 1); 2θ 31.6, rel. 55, (0 2 1); 2θ 61.3, rel. 51, (1 3 2)

Structural model:
abc: 7.2994 9.3393 3.5591
angles: 90.00 90.00 90.00
Space group Cmmm (No. 65)
Unique sites:
U: 0.0000 0.1983 0.0000
Al: 0.1806 0.5000 0.0000
B: 0.0000 0.4073 0.5000
B: 0.1195 0.0000 0.5000
B: 0.2232 0.3396 0.5000


# 4
Structure and calculated X-ray powder pattern of AlVB (the GGA-PBE geometry in Alexandria; λ = 1.5418 Å (Cu Kα)).

Main lines, most intense first (5 to 70 degrees two-theta):
2θ 42.4, rel. 100, (1 1 1); 2θ 39.3, rel. 97, (0 4 1); 2θ 43.3, rel. 95, (1 5 0); 2θ 46.3, rel. 47, (1 3 1); 2θ 12.5, rel. 39, (0 2 0); 2θ 29.6, rel. 34, (1 1 0); 2θ 59.9, rel. 22, (2 0 0); 2θ 32.3, rel. 21, (0 2 1); 2θ 61.7, rel. 20, (0 0 2); 2θ 38.0, rel. 14, (0 6 0)

Structural model:
abc: 3.0880 14.1907 3.0087
angles: 90.00 90.00 90.00
Space group Cmcm (No. 63)
Unique sites:
Al: 0.0000 0.1934 0.2500
V: 0.0000 0.4162 0.2500
B: 0.0000 0.0318 0.2500


# 5
Structure and calculated X-ray powder pattern of YbAlB4 (the GGA-PBE geometry in Alexandria; λ = 1.5418 Å (Cu Kα)).

Main lines, most intense first (5 to 70 degrees two-theta):
2θ 40.5, rel. 100, (0 4 1); 2θ 30.9, rel. 80, (0 4 0); 2θ 25.5, rel. 55, (0 0 1); 2θ 21.4, rel. 55, (1 2 0); 2θ 33.5, rel. 44, (1 2 1); 2θ 37.9, rel. 40, (1 3 1); 2θ 27.5, rel. 37, (1 3 0); 2θ 16.7, rel. 29, (1 1 0); 2θ 62.1, rel. 23, (0 4 2); 2θ 56.8, rel. 22, (2 5 1)

Structural model:
abc: 5.9708 11.5629 3.4951
angles: 90.00 90.00 90.00
Space group Pbam (No. 55)
Unique sites:
Yb: 0.1285 0.1503 0.0000
Al: 0.1401 0.4086 0.0000
B: 0.0263 0.6929 0.5000
B: 0.1140 0.5470 0.5000
B: 0.1332 0.9693 0.5000
B: 0.2091 0.8121 0.5000


# 6
Structure and calculated X-ray powder pattern of YbAlB4 (the GGA-PBE geometry in Alexandria; λ = 1.5418 Å (Cu Kα)).

Main lines, most intense first (5 to 70 degrees two-theta):
2θ 40.5, rel. 100, (2 2 1); 2θ 40.6, rel. 92, (1 3 1); 2θ 25.5, rel. 80, (0 0 1); 2θ 30.9, rel. 80, (2 2 0); 2θ 31.0, rel. 73, (1 3 0); 2θ 24.2, rel. 73, (2 0 0); 2θ 35.4, rel. 67, (2 0 1); 2θ 18.9, rel. 67, (0 2 0); 2θ 31.9, rel. 46, (0 2 1); 2θ 62.1, rel. 44, (2 2 2)

Structural model:
abc: 7.3574 9.3937 3.4926
angles: 90.00 90.00 90.00
Space group Cmmm (No. 65)
Unique sites:
Yb: 0.0000 0.1996 0.0000
Al: 0.1834 0.5000 0.0000
B: 0.0000 0.4079 0.5000
B: 0.1201 0.0000 0.5000
B: 0.2225 0.3404 0.5000


# 7
Structure and calculated X-ray powder pattern of Ba4Al5 (the GGA-PBE geometry in Alexandria; λ = 1.5418 Å (Cu Kα)).

Main lines, most intense first (5 to 70 degrees two-theta):
2θ 29.2, rel. 100, (1 1 0); 2θ 35.5, rel. 51, (1 1 4); 2θ 22.4, rel. 45, (1 0 3); 2θ 26.0, rel. 39, (1 0 4); 2θ 34.4, rel. 38, (1 0 6); 2θ 30.1, rel. 33, (1 0 5); 2θ 19.5, rel. 22, (1 0 2); 2θ 51.8, rel. 20, (3 0 0); 2θ 55.2, rel. 19, (2 1 6); 2θ 35.3, rel. 19, (2 0 2)

Structural model:
abc: 6.1187 6.1187 17.9511
angles: 90.00 90.00 120.00
Space group P6_3/mmc (No. 194)
Unique sites:
Ba: 0.0000 0.0000 0.1437
Ba: 0.3333 0.6667 0.0703
Al: 0.0190 0.5095 0.2500
Al: 0.3333 0.6667 0.6374


# 8
Structure and calculated X-ray powder pattern of Ba3Al (the GGA-PBE geometry in Alexandria; λ = 1.5418 Å (Cu Kα)).

Main lines, most intense first (5 to 70 degrees two-theta):
2θ 28.1, rel. 100, (0 2 0); 2θ 23.4, rel. 51, (0 1 3); 2θ 38.0, rel. 26, (1 0 5); 2θ 47.9, rel. 23, (1 2 5); 2θ 21.6, rel. 21, (1 0 1); 2θ 58.0, rel. 19, (1 1 8); 2θ 35.7, rel. 17, (1 2 1); 2θ 49.7, rel. 14, (1 3 2); 2θ 48.7, rel. 14, (2 1 3); 2θ 47.0, rel. 12, (0 3 3)

Structural model:
abc: 4.2959 6.3471 14.2195
angles: 90.00 90.00 90.00
Space group Immm (No. 71)
Unique sites:
Ba: 0.0000 0.0000 0.0000
Ba: 0.0000 0.5000 0.1909
Al: 0.0000 0.0000 0.5000